This entry pairs a crystal structure of Ac5BN8 with its theoretical powder diffraction line list. Radiation: Cu Kα (weighted mean of Kα1 and Kα2). Structure: the PBE geometry in Alexandria.
Lines closer than 0.1° are merged.

Peak list (10 most intense, 5 to 70 degrees two-theta, low angle first)
d = 3.372 Å, intensity 23.2; d = 3.278 Å, intensity 100.0; d = 2.931 Å, intensity 13.5; d = 2.652 Å, intensity 40.1; d = 2.085 Å, intensity 25.2; d = 1.928 Å, intensity 16.8; d = 1.876 Å, intensity 13.8; d = 1.639 Å, intensity 14.2; d = 1.628 Å, intensity 25.9; d = 1.617 Å, intensity 7.4

Structural model:
```
Ac5BN8
1.0
-4.194 4.194 3.372
4.194 -4.194 3.372
4.194 4.194 -3.372
Ac B N
5 1 8
direct
0.000 0.000 0.000
0.270 0.439 0.593
0.323 0.730 0.169
0.561 0.154 0.831
0.846 0.677 0.407
0.750 0.250 0.500
0.154 0.760 0.774
0.240 0.014 0.394
0.501 0.242 0.474
0.620 0.846 0.606
0.758 0.232 0.259
0.768 0.027 0.526
0.973 0.499 0.741
0.986 0.380 0.226
```

=====

This entry pairs a crystal structure of NaAcBN2 with its theoretical powder diffraction line list. Radiation: Cu Kα (weighted mean of Kα1 and Kα2). Structure: the PBE geometry in Alexandria.
Lines closer than 0.1° are merged.

Peak list (10 most intense, 5 to 70 degrees two-theta, low angle first)
d = 5.908 Å, intensity 99.8; d = 4.331 Å, intensity 90.7; d = 3.817 Å, intensity 52.6; d = 3.510 Å, intensity 37.4; d = 3.493 Å, intensity 100.0; d = 2.969 Å, intensity 32.4; d = 2.954 Å, intensity 33.1; d = 2.864 Å, intensity 30.7; d = 2.727 Å, intensity 61.3; d = 2.449 Å, intensity 56.4

Structural model:
```
NaAcBN2
1.0
6.008 0.000 0.000
0.000 4.331 0.000
-1.412 0.000 7.634
Na Ac B N
2 2 2 4
direct
0.000 0.001 0.250
0.000 0.999 0.750
0.500 0.499 0.750
0.500 0.501 0.250
0.000 0.500 0.000
0.000 0.500 0.500
0.207 0.499 0.955
0.207 0.501 0.455
0.793 0.499 0.545
0.793 0.501 0.045
```

=====

This entry pairs a crystal structure of NaAc3B2N6 with its theoretical powder diffraction line list. Radiation: Cu Kα (weighted mean of Kα1 and Kα2). Structure: the PBE geometry in Alexandria.
Lines closer than 0.1° are merged.

Peak list (10 most intense, 5 to 70 degrees two-theta, low angle first)
d = 3.952 Å, intensity 100.0; d = 2.890 Å, intensity 62.0; d = 2.707 Å, intensity 53.2; d = 2.333 Å, intensity 35.9; d = 1.976 Å, intensity 25.8; d = 1.815 Å, intensity 27.2; d = 1.723 Å, intensity 24.0; d = 1.669 Å, intensity 12.4; d = 1.631 Å, intensity 22.5; d = 1.357 Å, intensity 10.8

Structural model:
```
NaAc3B2N6
1.0
5.780 0.000 0.000
-2.890 5.006 0.000
0.000 0.000 6.437
Na Ac B N
1 3 2 6
direct
0.000 0.000 0.000
0.000 0.000 0.500
0.333 0.667 0.163
0.667 0.333 0.837
0.333 0.667 0.741
0.667 0.333 0.259
0.189 0.379 0.771
0.189 0.811 0.771
0.379 0.189 0.229
0.621 0.811 0.771
0.811 0.189 0.229
0.811 0.621 0.229
```

=====

This entry pairs a crystal structure of AcPrBN2 with its theoretical powder diffraction line list. Radiation: Cu Kα (weighted mean of Kα1 and Kα2). Structure: the PBE geometry in Alexandria.
Lines closer than 0.1° are merged.

Peak list (10 most intense, 5 to 70 degrees two-theta, low angle first)
d = 3.792 Å, intensity 60.2; d = 3.429 Å, intensity 100.0; d = 2.951 Å, intensity 35.6; d = 2.767 Å, intensity 63.2; d = 2.708 Å, intensity 33.7; d = 2.366 Å, intensity 49.4; d = 2.106 Å, intensity 17.7; d = 1.841 Å, intensity 17.4; d = 1.790 Å, intensity 18.1; d = 1.782 Å, intensity 38.7

Structural model:
```
AcPrBN2
1.0
3.937 0.000 0.000
0.000 4.213 0.000
-1.648 0.000 5.902
Ac Pr B N
1 1 1 2
direct
0.000 0.000 0.000
0.000 0.500 0.500
0.500 0.000 0.500
0.374 0.000 0.690
0.626 0.000 0.310
```

=====

This entry pairs a crystal structure of Ac3SnB2N6 with its theoretical powder diffraction line list. Radiation: Cu Kα (weighted mean of Kα1 and Kα2). Structure: the PBE geometry in Alexandria.
Lines closer than 0.1° are merged.

Peak list (10 most intense, 5 to 70 degrees two-theta, low angle first)
d = 6.869 Å, intensity 3.4; d = 4.849 Å, intensity 4.4; d = 3.961 Å, intensity 48.8; d = 2.801 Å, intensity 100.0; d = 2.287 Å, intensity 23.8; d = 1.981 Å, intensity 22.9; d = 1.771 Å, intensity 24.4; d = 1.617 Å, intensity 38.8; d = 1.464 Å, intensity 1.4; d = 1.400 Å, intensity 13.7

Structural model:
```
Ac3SnB2N6
1.0
5.599 0.000 0.000
-2.799 4.849 0.000
0.000 0.000 6.869
Ac Sn B N
3 1 2 6
direct
0.000 0.000 0.000
0.333 0.667 0.677
0.667 0.333 0.323
0.000 0.000 0.500
0.333 0.667 0.274
0.667 0.333 0.726
0.181 0.361 0.286
0.181 0.819 0.286
0.361 0.181 0.714
0.639 0.819 0.286
0.819 0.181 0.714
0.819 0.639 0.714
```

=====

This entry pairs a crystal structure of AcTbBN3 with its theoretical powder diffraction line list. Radiation: Cu Kα (weighted mean of Kα1 and Kα2). Structure: the PBE geometry in Alexandria.
Lines closer than 0.1° are merged.

Peak list (10 most intense, 5 to 70 degrees two-theta, low angle first)
d = 3.846 Å, intensity 83.2; d = 2.851 Å, intensity 100.0; d = 2.605 Å, intensity 81.8; d = 2.291 Å, intensity 36.7; d = 1.923 Å, intensity 38.7; d = 1.786 Å, intensity 24.5; d = 1.646 Å, intensity 19.9; d = 1.594 Å, intensity 34.4; d = 1.426 Å, intensity 15.0; d = 1.350 Å, intensity 21.1

Structural model:
```
AcTbBN3
1.0
5.703 0.000 0.000
-2.851 4.939 0.000
0.000 0.000 6.132
Ac Tb B N
2 2 2 6
direct
0.333 0.667 0.250
0.667 0.333 0.750
0.000 0.000 0.000
0.000 0.000 0.500
0.333 0.667 0.750
0.667 0.333 0.250
0.184 0.368 0.750
0.184 0.816 0.750
0.368 0.184 0.250
0.632 0.816 0.750
0.816 0.184 0.250
0.816 0.632 0.250
```

=====

This entry pairs a crystal structure of NaAcB12 with its theoretical powder diffraction line list. Radiation: Cu Kα (weighted mean of Kα1 and Kα2). Structure: the PBE geometry in Alexandria.
Lines closer than 0.1° are merged.

Peak list (10 most intense, 5 to 70 degrees two-theta, low angle first)
d = 4.844 Å, intensity 100.0; d = 4.195 Å, intensity 44.2; d = 2.966 Å, intensity 80.8; d = 2.530 Å, intensity 60.0; d = 2.422 Å, intensity 34.3; d = 1.925 Å, intensity 27.7; d = 1.876 Å, intensity 40.4; d = 1.615 Å, intensity 21.5; d = 1.418 Å, intensity 21.3; d = 1.398 Å, intensity 23.8

Structural model:
```
NaAcB12
1.0
0.000 4.195 4.195
4.195 0.000 4.195
4.195 4.195 0.000
Na Ac B
1 1 12
direct
0.000 0.000 0.000
0.500 0.500 0.500
0.101 0.101 0.399
0.101 0.399 0.101
0.101 0.399 0.399
0.399 0.101 0.101
0.399 0.101 0.399
0.399 0.399 0.101
0.601 0.601 0.899
0.601 0.899 0.601
0.601 0.899 0.899
0.899 0.601 0.601
0.899 0.601 0.899
0.899 0.899 0.601
```

=====

This entry pairs a crystal structure of NaAcB2O5 with its theoretical powder diffraction line list. Radiation: Cu Kα (weighted mean of Kα1 and Kα2). Structure: the PBE geometry in Alexandria.
Lines closer than 0.1° are merged.

Peak list (10 most intense, 5 to 70 degrees two-theta, low angle first)
d = 7.168 Å, intensity 100.0; d = 3.598 Å, intensity 39.3; d = 3.584 Å, intensity 13.6; d = 3.216 Å, intensity 41.3; d = 2.541 Å, intensity 59.8; d = 2.398 Å, intensity 30.1; d = 2.075 Å, intensity 39.2; d = 1.799 Å, intensity 14.5; d = 1.609 Å, intensity 15.9; d = 1.468 Å, intensity 16.4

Structural model:
```
NaAcB2O5
1.0
3.598 0.000 0.000
0.000 3.598 0.000
0.000 0.000 7.168
Na Ac B O
1 1 2 5
direct
0.000 0.000 0.000
0.000 0.000 0.500
0.500 0.500 0.283
0.500 0.500 0.717
0.000 0.500 0.241
0.000 0.500 0.759
0.500 0.000 0.241
0.500 0.000 0.759
0.500 0.500 0.500
```